For LiGa4W2O12, the PBE+U geometry in Alexandria gives the calculated X-ray powder pattern in this record (Cu Kα, 1.54184 Å).
Neutral-atom scattering factors, no anomalous dispersion.

Top 6 peaks for 15° ≤ 2θ ≤ 90°, sorted by position:
21.13°, intensity 53
26.28°, intensity 68
27.09°, intensity 68
34.83°, intensity 100
52.10°, intensity 41
53.02°, intensity 43

Structure:
```
LiGa4W2O12
1.0
9.2196 0.0000 0.0000
0.0000 3.2921 3.3915
0.0000 -3.2921 3.3915
Li Ga W O
1 4 2 12
Direct
0.0000 0.0000 0.0000
0.1789 0.7813 0.7813
0.3375 0.3022 0.3022
0.6625 0.3022 0.3022
0.8211 0.7813 0.7813
0.0000 0.3354 0.3354
0.5000 0.8071 0.8071
0.0000 0.0073 0.6172
0.0000 0.6172 0.0073
0.1659 0.1308 0.1308
0.1744 0.5059 0.5059
0.3418 0.0058 0.6165
0.3418 0.6165 0.0058
0.5000 0.1061 0.1061
0.5000 0.5140 0.5140
0.6582 0.0058 0.6165
0.6582 0.6165 0.0058
0.8256 0.5059 0.5059
0.8341 0.1308 0.1308
```